Entry 1:
Theoretical powder diffraction line list
Compound: Sr5Ti2N6
Radiation: a wavelength of 1.5418 Å
Structure: DFT lattice parameters and positions (GGA-PBE)
Peak positions follow from Bragg's law for the DFT cell and can differ from measured ones.

The 10 most intense peaks (10° ≤ 2θ ≤ 80°), in order of rising 2θ:
index, d_spacing, 2θ (°), Rel. int.
0 0 4, 3.338, 26.7, 100
3 1 0, 3.103, 28.8, 22
3 1 -2, 3.040, 29.4, 32
3 1 1, 2.905, 30.8, 78
2 2 0, 2.876, 31.1, 22
3 1 -3, 2.802, 31.9, 73
0 2 3, 2.726, 32.9, 52
2 0 4, 2.576, 34.8, 31
0 2 4, 2.398, 37.5, 22
3 3 0, 1.918, 47.4, 23

Crystal structure
```
data_Sr5Ti2N6
_chemical_formula_sum 'Sr20 Ti8 N24'
_symmetry_space_group_name_H-M 'C 1 2/c 1'
_symmetry_Int_Tables_number 15
_cell_length_a 10.656
_cell_length_b 6.898
_cell_length_c 13.645
_cell_angle_alpha 90.00
_cell_angle_beta 102.05
_cell_angle_gamma 90.00
loop_
_symmetry_equiv_pos_as_xyz
'x,y,z'
'-x,-y,-z'
'-x,y,-z+1/2'
'x,-y,z+1/2'
'x+1/2,y+1/2,z'
'-x+1/2,-y+1/2,-z'
'-x+1/2,y+1/2,-z+1/2'
'x+1/2,-y+1/2,z+1/2'
loop_
_atom_site_label
_atom_site_type_symbol
_atom_site_fract_x
_atom_site_fract_y
_atom_site_fract_z
_atom_site_occupancy
Sr1 Sr 0.000 0.143 0.250 1
Sr2 Sr 0.039 0.239 0.002 1
Sr3 Sr 0.156 0.379 0.722 1
Ti1 Ti 0.224 0.392 0.429 1
N1 N 0.055 0.487 0.376 1
N2 N 0.147 0.025 0.644 1
N3 N 0.212 0.108 0.425 1
```


Entry 2:
Theoretical powder diffraction line list
Compound: KCN
Radiation: a wavelength of 1.5418 Å
Structure: DFT lattice parameters and positions (GGA-PBE)
Peak positions follow from Bragg's law for the DFT cell and can differ from measured ones.

The 10 most intense peaks (10° ≤ 2θ ≤ 80°), in order of rising 2θ:
index, d_spacing, 2θ (°), Rel. int.
1 1 0, 3.954, 22.5, 33
2 0 0, 2.871, 31.2, 36
1 1 -1, 2.823, 31.7, 70
1 1 1, 2.771, 32.3, 100
0 2 0, 2.723, 32.9, 48
2 0 -1, 2.354, 38.2, 12
0 0 2, 1.977, 45.9, 31
3 1 0, 1.805, 50.6, 10
2 2 -1, 1.782, 51.3, 19
1 3 1, 1.581, 58.4, 13

Crystal structure
```
data_KCN
_chemical_formula_sum 'K2 C2 N2'
_symmetry_space_group_name_H-M 'C 1 m 1'
_symmetry_Int_Tables_number 8
_cell_length_a 5.743
_cell_length_b 5.447
_cell_length_c 3.960
_cell_angle_alpha 90.00
_cell_angle_beta 91.55
_cell_angle_gamma 90.00
loop_
_symmetry_equiv_pos_as_xyz
'x,y,z'
'x,-y,z'
'x+1/2,y+1/2,z'
'x+1/2,-y+1/2,z'
loop_
_atom_site_label
_atom_site_type_symbol
_atom_site_fract_x
_atom_site_fract_y
_atom_site_fract_z
_atom_site_occupancy
K1 K 0.000 0.000 0.000 1
C1 C 0.057 0.500 0.396 1
N1 N 0.391 0.000 0.566 1
```


Entry 3:
Theoretical powder diffraction line list
Compound: TiCr2Te4
Radiation: a wavelength of 1.5418 Å
Structure: DFT lattice parameters and positions (GGA-PBE)
Peak positions follow from Bragg's law for the DFT cell and can differ from measured ones.

The 10 most intense peaks (10° ≤ 2θ ≤ 80°), in order of rising 2θ:
index, d_spacing, 2θ (°), Rel. int.
0 0 2, 3.106, 28.7, 30
1 1 0, 3.034, 29.4, 59
1 -1 1, 3.022, 29.6, 100
-1 1 1, 3.004, 29.7, 68
0 2 2, 2.971, 30.1, 59
0 2 -1, 2.322, 38.8, 43
1 1 3, 2.297, 39.2, 45
2 0 1, 1.998, 45.4, 34
1 3 2, 1.980, 45.8, 62
2 2 3, 1.657, 55.4, 38

Crystal structure
```
data_TiCr2Te4
_chemical_formula_sum 'Ti1 Cr2 Te4'
_symmetry_space_group_name_H-M 'P 1'
_symmetry_Int_Tables_number 1
_cell_length_a 3.996
_cell_length_b 6.840
_cell_length_c 7.309
_cell_angle_alpha 63.14
_cell_angle_beta 74.22
_cell_angle_gamma 89.88
loop_
_symmetry_equiv_pos_as_xyz
'x,y,z'
loop_
_atom_site_label
_atom_site_type_symbol
_atom_site_fract_x
_atom_site_fract_y
_atom_site_fract_z
_atom_site_occupancy
Ti1 Ti 0.000 0.000 0.000 1
Cr1 Cr 0.243 0.276 0.513 1
Cr2 Cr 0.503 0.567 0.991 1
Te1 Te 0.136 0.825 0.725 1
Te2 Te 0.364 0.733 0.271 1
Te3 Te 0.617 0.319 0.765 1
Te4 Te 0.880 0.254 0.238 1
```


Entry 4:
Theoretical powder diffraction line list
Compound: La6NbGa11O28
Radiation: a wavelength of 1.5418 Å
Structure: DFT lattice parameters and positions (GGA-PBE)
Peak positions follow from Bragg's law for the DFT cell and can differ from measured ones.

The 10 most intense peaks (10° ≤ 2θ ≤ 80°), in order of rising 2θ:
index, d_spacing, 2θ (°), Rel. int.
1 1 2, 3.240, 27.5, 82
0 2 2, 2.954, 30.3, 100
5 1 0, 2.720, 32.9, 29
4 0 -4, 2.588, 34.7, 18
2 2 2, 2.408, 37.4, 14
2 4 0, 1.996, 45.4, 18
0 2 4, 1.875, 48.6, 33
7 3 -2, 1.862, 48.9, 24
6 2 2, 1.573, 58.7, 20
10 0 -6, 1.556, 59.4, 15

Crystal structure
```
data_La6NbGa11O28
_chemical_formula_sum 'La12 Nb2 Ga22 O56'
_symmetry_space_group_name_H-M 'C 1 2 1'
_symmetry_Int_Tables_number 5
_cell_length_a 17.725
_cell_length_b 8.309
_cell_length_c 10.351
_cell_angle_alpha 90.00
_cell_angle_beta 125.72
_cell_angle_gamma 90.00
loop_
_symmetry_equiv_pos_as_xyz
'x,y,z'
'-x,y,-z'
'x+1/2,y+1/2,z'
'-x+1/2,y+1/2,-z'
loop_
_atom_site_label
_atom_site_type_symbol
_atom_site_fract_x
_atom_site_fract_y
_atom_site_fract_z
_atom_site_occupancy
La1 La 0.000 0.000 0.000 1
La2 La 0.000 0.010 0.500 1
La3 La 0.209 0.640 0.709 1
La4 La 0.215 0.644 0.215 1
Nb1 Nb 0.000 0.430 0.000 1
Ga1 Ga 0.000 0.429 0.500 1
Ga2 Ga 0.001 0.670 0.256 1
Ga3 Ga 0.120 0.309 0.375 1
Ga4 Ga 0.120 0.309 0.866 1
Ga5 Ga 0.166 0.931 0.931 1
Ga6 Ga 0.168 0.929 0.433 1
O1 O 0.037 0.247 0.657 1
O2 O 0.039 0.248 0.157 1
O3 O 0.071 0.579 0.189 1
O4 O 0.072 0.812 0.921 1
O5 O 0.073 0.576 0.693 1
O6 O 0.074 0.815 0.423 1
O7 O 0.110 0.462 0.993 1
O8 O 0.110 0.465 0.490 1
O9 O 0.154 0.130 0.003 1
O10 O 0.156 0.127 0.505 1
O11 O 0.166 0.928 0.256 1
O12 O 0.167 0.931 0.757 1
O13 O 0.227 0.347 0.378 1
O14 O 0.230 0.347 0.881 1
```


Entry 5:
Theoretical powder diffraction line list
Compound: PrZnBi2O6
Radiation: a wavelength of 1.5418 Å
Structure: DFT lattice parameters and positions (GGA-PBE)
Peak positions follow from Bragg's law for the DFT cell and can differ from measured ones.

The 10 most intense peaks (10° ≤ 2θ ≤ 80°), in order of rising 2θ:
index, d_spacing, 2θ (°), Rel. int.
1 1 0, 4.213, 21.1, 12
2 0 0, 2.979, 30.0, 62
1 1 2, 2.956, 30.2, 100
2 0 2, 2.420, 37.2, 12
2 2 0, 2.107, 42.9, 26
0 0 4, 2.074, 43.6, 15
1 3 2, 1.715, 53.4, 50
2 0 4, 1.702, 53.9, 24
2 2 4, 1.478, 62.9, 17
4 2 0, 1.332, 70.7, 12

Crystal structure
```
data_PrZnBi2O6
_chemical_formula_sum 'Pr2 Zn2 Bi4 O12'
_symmetry_space_group_name_H-M 'I 4/m'
_symmetry_Int_Tables_number 87
_symmetry_space_group_name_Hall '-I 4'
_cell_length_a 5.958
_cell_length_b 5.958
_cell_length_c 8.296
_cell_angle_alpha 90.00
_cell_angle_beta 90.00
_cell_angle_gamma 90.00
loop_
_atom_site_label
_atom_site_type_symbol
_atom_site_fract_x
_atom_site_fract_y
_atom_site_fract_z
_atom_site_occupancy
Pr1 Pr 0.000 0.000 0.000 1
Zn1 Zn 0.000 0.000 0.500 1
Bi1 Bi 0.000 0.500 0.250 1
O1 O 0.000 0.000 0.269 1
O2 O 0.143 0.326 0.500 1
```


Entry 6:
Theoretical powder diffraction line list
Compound: Mg6MnGa
Radiation: a wavelength of 1.5418 Å
Structure: DFT lattice parameters and positions (GGA-PBE)
Peak positions follow from Bragg's law for the DFT cell and can differ from measured ones.

The 10 most intense peaks (10° ≤ 2θ ≤ 80°), in order of rising 2θ:
index, d_spacing, 2θ (°), Rel. int.
0 0 2, 5.371, 16.5, 22
1 0 0, 4.939, 18.0, 17
0 2 2, 2.667, 33.6, 30
2 0 0, 2.469, 36.4, 38
1 0 4, 2.359, 38.1, 52
1 2 2, 2.347, 38.4, 100
2 2 2, 1.812, 50.4, 18
0 2 6, 1.547, 59.8, 17
3 2 2, 1.401, 66.8, 18
2 2 6, 1.311, 72.0, 18

Crystal structure
```
data_Mg6MnGa
_chemical_formula_sum 'Mg12 Mn2 Ga2'
_symmetry_space_group_name_H-M 'A m m 2'
_symmetry_Int_Tables_number 38
_cell_length_a 4.939
_cell_length_b 6.145
_cell_length_c 10.741
_cell_angle_alpha 90.00
_cell_angle_beta 90.00
_cell_angle_gamma 90.00
loop_
_symmetry_equiv_pos_as_xyz
'x,y,z'
'-x,-y,z'
'-x,y,z'
'x,-y,z'
'x,y+1/2,z+1/2'
'-x,-y+1/2,z+1/2'
'-x,y+1/2,z+1/2'
'x,-y+1/2,z+1/2'
loop_
_atom_site_label
_atom_site_type_symbol
_atom_site_fract_x
_atom_site_fract_y
_atom_site_fract_z
_atom_site_occupancy
Mg1 Mg 0.000 0.000 0.000 1
Mg2 Mg 0.000 0.000 0.498 1
Mg3 Mg 0.000 0.247 0.255 1
Mg4 Mg 0.500 0.249 0.586 1
Mn1 Mn 0.500 0.000 0.337 1
Ga1 Ga 0.500 0.000 0.836 1
```


Entry 7:
Theoretical powder diffraction line list
Compound: Te2MoWS2
Radiation: a wavelength of 1.5418 Å
Structure: DFT lattice parameters and positions (GGA-PBE)
Peak positions follow from Bragg's law for the DFT cell and can differ from measured ones.

The 10 most intense peaks (10° ≤ 2θ ≤ 80°), in order of rising 2θ:
index, d_spacing, 2θ (°), Rel. int.
0 0 5, 7.663, 11.5, 100
0 0 6, 6.386, 13.9, 16
1 0 0, 2.913, 30.7, 39
0 1 2, 2.881, 31.0, 17
0 1 6, 2.651, 33.8, 21
0 1 8, 2.489, 36.1, 98
1 0 10, 2.319, 38.8, 36
0 1 13, 2.072, 43.7, 45
1 1 0, 1.682, 54.5, 27
2 0 8, 1.394, 67.2, 16

Crystal structure
```
data_Te2MoWS2
_chemical_formula_sum 'Te4 Mo2 W2 S4'
_symmetry_space_group_name_H-M 'P -3 m 1'
_symmetry_Int_Tables_number 164
_symmetry_space_group_name_Hall '-P 3 2"'
_cell_length_a 3.3646
_cell_length_b 3.3646
_cell_length_c 38.3148
_cell_angle_alpha 90.00
_cell_angle_beta 90.00
_cell_angle_gamma 120.00
loop_
_atom_site_label
_atom_site_type_symbol
_atom_site_fract_x
_atom_site_fract_y
_atom_site_fract_z
_atom_site_occupancy
Te1 Te 0.3333 0.6667 0.2322 1
Te2 Te 0.3333 0.6667 0.3314 1
Mo1 Mo 0.3333 0.6667 0.0939 1
W1 W 0.3333 0.6667 0.7182 1
S1 S 0.3333 0.6667 0.8666 1
S2 S 0.3333 0.6667 0.9456 1
```


Entry 8:
Theoretical powder diffraction line list
Compound: Eu2GeS4
Radiation: a wavelength of 1.5418 Å
Structure: DFT lattice parameters and positions (GGA-PBE)
Peak positions follow from Bragg's law for the DFT cell and can differ from measured ones.

The 10 most intense peaks (10° ≤ 2θ ≤ 80°), in order of rising 2θ:
index, d_spacing, 2θ (°), Rel. int.
1 1 0, 4.674, 19.0, 100
0 2 0, 3.430, 26.0, 73
1 1 -2, 3.350, 26.6, 92
2 0 0, 3.193, 27.9, 34
2 1 -2, 2.696, 33.2, 73
1 1 2, 2.684, 33.4, 82
0 2 2, 2.557, 35.1, 66
2 2 0, 2.337, 38.5, 68
1 0 -4, 2.012, 45.1, 34
1 3 -2, 1.964, 46.2, 30

Crystal structure
```
data_Eu2GeS4
_chemical_formula_sum 'Eu4 Ge2 S8'
_symmetry_space_group_name_H-M 'P 1 21 1'
_symmetry_Int_Tables_number 4
_cell_length_a 6.705
_cell_length_b 6.859
_cell_length_c 8.048
_cell_angle_alpha 90.00
_cell_angle_beta 107.77
_cell_angle_gamma 90.00
loop_
_symmetry_equiv_pos_as_xyz
'x,y,z'
'-x,y+1/2,-z'
loop_
_atom_site_label
_atom_site_type_symbol
_atom_site_fract_x
_atom_site_fract_y
_atom_site_fract_z
_atom_site_occupancy
Eu1 Eu 0.219 0.000 0.053 1
Eu2 Eu 0.256 0.984 0.564 1
Ge1 Ge 0.236 0.528 0.805 1
S1 S 0.010 0.262 0.261 1
S2 S 0.031 0.263 0.750 1
S3 S 0.420 0.579 0.085 1
S4 S 0.431 0.569 0.624 1
```


Entry 9:
Theoretical powder diffraction line list
Compound: V5As3
Radiation: a wavelength of 1.5418 Å
Structure: DFT lattice parameters and positions (GGA-PBE)
Peak positions follow from Bragg's law for the DFT cell and can differ from measured ones.

The 10 most intense peaks (10° ≤ 2θ ≤ 80°), in order of rising 2θ:
index, d_spacing, 2θ (°), Rel. int.
2 1 1, 3.215, 27.8, 15
0 0 2, 2.473, 36.3, 21
3 2 1, 2.318, 38.9, 35
2 0 2, 2.191, 41.2, 65
4 2 0, 2.115, 42.8, 62
4 1 1, 2.081, 43.5, 100
2 2 2, 1.988, 45.6, 33
4 0 2, 1.709, 53.6, 14
3 3 2, 1.655, 55.5, 42
4 1 3, 1.339, 70.3, 25

Crystal structure
```
data_V5As3
_chemical_formula_sum 'V20 As12'
_symmetry_space_group_name_H-M 'I 4/m c m'
_symmetry_Int_Tables_number 140
_symmetry_space_group_name_Hall '-I 4 2c'
_cell_length_a 9.459
_cell_length_b 9.459
_cell_length_c 4.946
_cell_angle_alpha 90.00
_cell_angle_beta 90.00
_cell_angle_gamma 90.00
loop_
_atom_site_label
_atom_site_type_symbol
_atom_site_fract_x
_atom_site_fract_y
_atom_site_fract_z
_atom_site_occupancy
V1 V 0.000 0.500 0.250 1
V2 V 0.078 0.226 0.000 1
As1 As 0.000 0.000 0.250 1
As2 As 0.164 0.336 0.500 1
```